Record 1
# HoGe3
Calculated XRD peak list, copper Kα. Input: a cell relaxed with GGA-PBE.

Atomic structure:
Unit cell a=10.654 b=10.654 c=3.940 alpha=90.00 beta=90.00 gamma=158.20
Fractional coordinates of all 8 atoms:
Ho (0.083, 0.917, 0.750)
Ho (0.917, 0.083, 0.250)
Ge (0.191, 0.809, 0.250)
Ge (0.311, 0.689, 0.250)
Ge (0.460, 0.540, 0.750)
Ge (0.540, 0.460, 0.250)
Ge (0.689, 0.311, 0.750)
Ge (0.809, 0.191, 0.750)

Peak list (10 most intense, 2θ = 10–90°, most intense first)
2θ/deg	I/Imax
34.32	100
38.52	30
45.00	19
30.81	18
46.07	17
24.14	14
76.13	14
41.44	12
66.37	11
57.77	9

***

Record 2
# Ho6Ge11
Calculated XRD peak list, copper Kα. Input: a cell relaxed with GGA-PBE.

Atomic structure:
Unit cell a=4.004 b=4.056 c=45.658 alpha=89.24 beta=89.68 gamma=89.97
Fractional coordinates of all 34 atoms:
Ho (0.000, 0.000, 0.000)
Ho (0.000, 0.181, 0.687)
Ho (0.002, 0.179, 0.355)
Ho (0.485, 0.773, 0.507)
Ho (0.486, 0.851, 0.174)
Ho (0.488, 0.759, 0.836)
Ho (0.496, 0.229, 0.764)
Ho (0.496, 0.233, 0.433)
Ho (0.499, 0.387, 0.101)
Ho (0.985, 0.602, 0.597)
Ho (0.987, 0.612, 0.270)
Ho (0.992, 0.547, 0.926)
Ge (0.029, 0.462, 0.050)
Ge (0.478, 0.098, 0.235)
Ge (0.480, 0.086, 0.566)
Ge (0.486, 0.067, 0.894)
Ge (0.486, 0.127, 0.624)
Ge (0.487, 0.126, 0.293)
Ge (0.494, 0.037, 0.949)
Ge (0.498, 0.511, 0.987)
Ge (0.501, 0.635, 0.659)
Ge (0.501, 0.712, 0.715)
Ge (0.502, 0.711, 0.383)
Ge (0.503, 0.631, 0.327)
Ge (0.522, 0.921, 0.051)
Ge (0.980, 0.360, 0.208)
Ge (0.982, 0.311, 0.536)
Ge (0.987, 0.304, 0.865)
Ge (0.988, 0.353, 0.152)
Ge (0.989, 0.265, 0.481)
Ge (0.992, 0.247, 0.811)
Ge (0.997, 0.875, 0.114)
Ge (0.998, 0.731, 0.754)
Ge (0.998, 0.734, 0.421)

Peak list (10 most intense, 2θ = 10–90°, most intense first)
2θ/deg	I/Imax
33.69	100
45.30	47
32.02	33
37.20	30
33.42	29
28.34	28
33.54	27
42.28	26
23.38	26
37.00	25

***

Record 3
# Ho3Ge5
Calculated XRD peak list, copper Kα. Input: a cell relaxed with GGA-PBE.

Atomic structure:
Unit cell a=11.055 b=7.465 c=9.115 alpha=83.00 beta=42.08 gamma=54.92
Fractional coordinates of all 16 atoms:
Ho (0.000, 0.000, 0.000)
Ho (0.250, 0.250, 0.250)
Ho (0.311, 0.674, 0.352)
Ho (0.586, 0.898, 0.576)
Ho (0.674, 0.311, 0.664)
Ho (0.898, 0.586, 0.939)
Ge (0.072, 0.753, 0.255)
Ge (0.220, 0.471, 0.911)
Ge (0.330, 0.995, 0.497)
Ge (0.339, 0.853, 0.030)
Ge (0.471, 0.220, 0.397)
Ge (0.547, 0.547, 0.453)
Ge (0.753, 0.072, 0.920)
Ge (0.797, 0.797, 0.703)
Ge (0.853, 0.339, 0.779)
Ge (0.995, 0.330, 0.178)

Peak list (10 most intense, 2θ = 10–90°, most intense first)
2θ/deg	I/Imax
33.72	100
39.49	43
29.31	42
44.47	37
60.96	20
74.99	18
51.58	16
70.42	14
25.87	11
54.15	11

***

Record 4
# Ho11In6Ge4
Calculated XRD peak list, copper Kα. Input: a cell relaxed with GGA-PBE.

Atomic structure:
Unit cell a=11.475 b=11.475 c=11.475 alpha=119.97 beta=119.97 gamma=90.05
Fractional coordinates of all 42 atoms:
Ho (0.065, 0.315, 0.750)
Ho (0.102, 0.447, 0.345)
Ho (0.102, 0.757, 0.655)
Ho (0.168, 0.168, 0.000)
Ho (0.243, 0.898, 0.345)
Ho (0.315, 0.065, 0.750)
Ho (0.315, 0.565, 0.250)
Ho (0.330, 0.330, 0.660)
Ho (0.330, 0.670, 0.000)
Ho (0.435, 0.685, 0.750)
Ho (0.447, 0.102, 0.345)
Ho (0.553, 0.898, 0.655)
Ho (0.565, 0.315, 0.250)
Ho (0.670, 0.330, 0.000)
Ho (0.670, 0.670, 0.340)
Ho (0.685, 0.435, 0.750)
Ho (0.685, 0.935, 0.250)
Ho (0.757, 0.102, 0.655)
Ho (0.832, 0.832, 0.000)
Ho (0.898, 0.243, 0.345)
Ho (0.898, 0.553, 0.655)
Ho (0.935, 0.685, 0.250)
In (0.034, 0.034, 0.411)
In (0.034, 0.623, 0.000)
In (0.129, 0.129, 0.258)
In (0.129, 0.871, 0.000)
In (0.377, 0.377, 0.411)
In (0.377, 0.966, 0.000)
In (0.623, 0.034, 0.000)
In (0.623, 0.623, 0.589)
In (0.871, 0.129, 0.000)
In (0.871, 0.871, 0.742)
In (0.966, 0.377, 0.000)
In (0.966, 0.966, 0.589)
Ge (0.152, 0.500, 0.652)
Ge (0.250, 0.750, 0.500)
Ge (0.385, 0.385, 0.000)
Ge (0.500, 0.152, 0.652)
Ge (0.500, 0.848, 0.348)
Ge (0.615, 0.615, 0.000)
Ge (0.750, 0.250, 0.500)
Ge (0.848, 0.500, 0.348)

Peak list (10 most intense, 2θ = 10–90°, most intense first)
2θ/deg	I/Imax
32.64	100
33.11	90
36.30	24
65.85	23
34.97	19
47.53	15
56.72	15
42.79	14
31.16	13
67.28	13

***

Record 5
# Ho2InGe2
Calculated XRD peak list, copper Kα. Input: a cell relaxed with GGA-PBE.

Atomic structure:
Unit cell a=7.403 b=7.403 c=4.170 alpha=90.00 beta=90.00 gamma=90.00
Fractional coordinates of all 10 atoms:
Ho (0.178, 0.322, 0.000)
Ho (0.322, 0.822, 0.000)
Ho (0.678, 0.178, 0.000)
Ho (0.822, 0.678, 0.000)
In (0.000, 0.000, 0.500)
In (0.500, 0.500, 0.500)
Ge (0.122, 0.622, 0.500)
Ge (0.378, 0.122, 0.500)
Ge (0.622, 0.878, 0.500)
Ge (0.878, 0.378, 0.500)

Peak list (10 most intense, 2θ = 10–90°, most intense first)
2θ/deg	I/Imax
34.59	100
32.34	55
38.46	36
43.40	21
59.36	20
55.74	17
57.23	14
26.93	13
34.26	13
50.86	13